Structure and simulated X-ray diffraction stick pattern of NaFeAsCO7 (the PBE+U geometry in Alexandria; Cu Kα (λ = 1.5418 Å)).

Crystal structure
a = 5.353 Å, b = 6.652 Å, c = 9.437 Å
α = 90.00°, β = 92.07°, γ = 90.00°
Fractional coordinates of all 22 atoms:
Na (0.235, 0.000, 0.265)
Na (0.765, 0.500, 0.735)
Fe (0.202, 0.213, 0.854)
Fe (0.798, 0.713, 0.146)
As (0.287, 0.722, 0.929)
As (0.713, 0.222, 0.071)
C (0.276, 0.225, 0.587)
C (0.724, 0.725, 0.413)
O (0.055, 0.229, 0.639)
O (0.144, 0.733, 0.089)
O (0.203, 0.516, 0.829)
O (0.214, 0.923, 0.824)
O (0.310, 0.209, 0.456)
O (0.393, 0.207, 0.034)
O (0.459, 0.235, 0.681)
O (0.541, 0.735, 0.319)
O (0.607, 0.707, 0.966)
O (0.690, 0.709, 0.544)
O (0.786, 0.423, 0.176)
O (0.797, 0.016, 0.171)
O (0.856, 0.233, 0.911)
O (0.945, 0.729, 0.361)

The 10 most intense peaks (10° ≤ 2θ ≤ 80°), in order of rising 2θ:
2θ 16.31, d 5.436, intensity 42.2
2θ 18.78, d 4.726, intensity 55.7
2θ 19.37, d 4.582, intensity 47.4
2θ 23.58, d 3.774, intensity 77.6
2θ 24.71, d 3.602, intensity 79.1
2θ 26.80, d 3.326, intensity 100.0
2θ 28.45, d 3.137, intensity 36.0
2θ 28.99, d 3.081, intensity 34.1
2θ 32.94, d 2.719, intensity 59.5
2θ 33.51, d 2.674, intensity 50.9